Ta2V3Ge: computed X-ray diffraction stick pattern (CuKα), based on the GGA-PBE geometry in the Materials Project.
Intensities are scaled so that the largest is 100.

Largest 10 diffraction maxima, by intensity, 10° ≤ 2θ ≤ 90°:
2θ (°)	intensity
38.28	100
42.10	99
35.97	79
43.20	39
66.19	37
71.04	24
68.86	23
21.15	20
76.27	19
88.72	18

Structural model:
```
12
Lattice="4.9938 0.0000 0.0000 -2.4969 4.3248 0.0000 0.0000 0.0000 8.4029" Properties=species:S:1:pos:R:3 pbc="T T T"
Ta 0.0000 2.8832 0.5225
Ta 0.0000 2.8832 3.6789
Ta 2.4969 1.4416 4.7239
Ta 2.4969 1.4416 7.8804
V 0.0000 1.4956 6.3021
V -1.2017 3.5770 6.3021
V 1.2952 0.7478 2.1007
V 1.2017 3.5770 6.3021
V 3.6987 0.7478 2.1007
V 2.4969 2.8292 2.1007
Ge 0.0000 0.0000 0.0000
Ge 0.0000 0.0000 4.2014
```

=====

Ta2Mn4Si5: computed X-ray diffraction stick pattern (CuKα), based on the GGA-PBE geometry in the Materials Project.
Intensities are scaled so that the largest is 100.

Largest 10 diffraction maxima, by intensity, 10° ≤ 2θ ≤ 90°:
2θ (°)	intensity
40.34	100
10.63	81
20.12	78
40.58	62
42.81	50
26.73	41
29.51	36
13.27	32
46.09	32
62.69	31

Structural model:
```
22
Lattice="-3.6407 8.3203 2.5936 3.6407 -8.3203 2.5936 3.6407 8.3203 -2.5936" Properties=species:S:1:pos:R:3 pbc="T T T"
Ta 3.6407 5.2219 -1.2968
Ta 0.0000 3.0984 1.2968
Ta 3.6407 5.2219 1.2968
Ta 0.0000 3.0984 3.8903
Mn 1.8138 1.0791 0.0000
Mn 4.5206 2.4656 0.0000
Mn 0.8799 5.8547 0.0000
Mn 1.8138 -1.0791 2.5936
Mn 1.8269 9.3995 0.0000
Mn 2.7608 2.4656 2.5936
Mn -0.8799 5.8547 2.5936
Mn 1.8269 7.2412 2.5936
Si 6.5495 0.9683 0.0000
Si 2.2515 3.4279 0.0000
Si 3.6407 0.0000 1.2968
Si 2.2515 -3.4279 2.5936
Si 2.9088 7.3520 0.0000
Si 0.7319 0.9683 2.5936
Si 1.3892 11.7483 0.0000
Si 0.0000 8.3203 1.2968
Si 1.3892 4.8924 2.5936
Si -2.9088 7.3520 2.5936
```